[1]
Computed powder diffraction line list
Compound: ZnNi2B2
Radiation: a wavelength of 1.5418 Å
Structure: a structure optimized by DFT (PBE)
Neutral-atom scattering factors, no anomalous dispersion.

Atomic structure:
Cell: 5.7022 5.7022 2.7777 Å, 90.00 90.00 90.00°
Space group P4/mbm (No. 127)
Symmetry-distinct sites (fractional):
Zn1 0.0000 0.0000 0.0000
Ni1 0.1660 0.3340 0.5000
B1 0.1138 0.6138 0.0000

Principal peaks in the range 5° ≤ 2θ ≤ 70°, most intense first:
| d/Å | I/Imax | (hkl) |
| --- | --- | --- |
| 1.990 | 100 | 2 0 1 |
| 1.879 | 100 | 2 1 1 |
| 2.550 | 86 | 2 1 0 |
| 1.803 | 78 | 3 1 0 |
| 2.287 | 75 | 1 1 1 |
| 2.016 | 29 | 2 2 0 |
| 1.389 | 17 | 0 0 2 |
| 1.383 | 14 | 4 1 0 |
| 4.032 | 14 | 1 1 0 |
| 2.778 | 6 | 0 0 1 |

---

[2]
Computed powder diffraction line list
Compound: Ti12BiPb3
Radiation: a wavelength of 1.5418 Å
Structure: a structure optimized by DFT (PBE)
Neutral-atom scattering factors, no anomalous dispersion.

Atomic structure:
Cell: 5.2944 5.2944 10.5971 Å, 90.00 90.00 90.00°
Space group Pmmm (No. 47)
Symmetry-distinct sites (fractional):
Ti1 0.0000 0.0000 0.1233
Ti2 0.0000 0.0000 0.3727
Ti3 0.2484 0.5000 0.5000
Ti4 0.2503 0.5000 0.0000
Ti5 0.5000 0.2506 0.2497
Bi1 0.5000 0.0000 0.5000
Pb1 0.0000 0.5000 0.2501
Pb2 0.5000 0.0000 0.0000

Principal peaks in the range 5° ≤ 2θ ≤ 70°, most intense first:
| d/Å | I/Imax | (hkl) |
| --- | --- | --- |
| 2.162 | 100 | 2 1 2 |
| 3.745 | 81 | 1 1 0 |
| 1.415 | 52 | 3 2 2 |
| 2.648 | 45 | 2 0 0 |
| 1.675 | 19 | 3 0 2 |
| 2.368 | 18 | 2 1 0 |
| 1.872 | 13 | 2 2 0 |
| 1.469 | 3 | 3 0 4 |
| 1.529 | 1 | 2 2 4 |

---

[3]
Computed powder diffraction line list
Compound: Tl2Ir3O8
Radiation: a wavelength of 1.5418 Å
Structure: a structure optimized by DFT (PBE)
Neutral-atom scattering factors, no anomalous dispersion.

Atomic structure:
Cell: 6.2894 6.2894 12.7026 Å, 90.00 90.00 120.00°
Space group P6_3mc (No. 186)
Symmetry-distinct sites (fractional):
Tl1 0.3333 0.6667 0.0000
Tl2 0.3333 0.6667 0.3998
Ir1 0.1655 0.3310 0.7069
O1 0.0000 0.0000 0.2857
O2 0.0390 0.5195 0.7840
O3 0.1498 0.2996 0.1311
O4 0.3333 0.6667 0.6321

Principal peaks in the range 5° ≤ 2θ ≤ 70°, most intense first:
| d/Å | I/Imax | (hkl) |
| --- | --- | --- |
| 3.343 | 100 | 1 0 3 |
| 2.818 | 85 | 1 1 2 |
| 2.663 | 85 | 2 0 1 |
| 1.858 | 75 | 2 0 5 |
| 4.135 | 60 | 1 0 2 |
| 6.351 | 43 | 0 0 2 |
| 1.851 | 40 | 2 1 3 |
| 1.572 | 33 | 2 2 0 |
| 3.176 | 31 | 0 0 4 |
| 2.723 | 31 | 2 0 0 |

---

[4]
Computed powder diffraction line list
Compound: La2Dy7Y4
Radiation: a wavelength of 1.5418 Å
Structure: a structure optimized by DFT (PBE)
Neutral-atom scattering factors, no anomalous dispersion.

Atomic structure:
Cell: 6.1111 6.1111 13.3366 Å, 90.00 90.00 120.00°
Space group P-31m (No. 162)
Symmetry-distinct sites (fractional):
La1 0.3333 0.6667 0.0000
Dy1 0.0000 0.0000 0.0000
Dy2 0.0000 0.3572 0.7827
Y1 0.0000 0.0000 0.3945
Y2 0.3333 0.6667 0.5000

Principal peaks in the range 5° ≤ 2θ ≤ 70°, most intense first:
| d/Å | I/Imax | (hkl) |
| --- | --- | --- |
| 2.778 | 100 | 1 1 2 |
| 2.978 | 59 | 1 1 1 |
| 2.518 | 47 | 2 -1 3 |
| 13.337 | 40 | 0 0 1 |
| 1.764 | 29 | 3 0 0 |
| 3.334 | 26 | 0 0 4 |
| 1.797 | 22 | 1 1 6 |
| 2.667 | 18 | 0 0 5 |
| 1.471 | 16 | 3 0 5 |
| 2.253 | 16 | 2 -1 4 |

---

> What is the formula in the third record?

Tl2Ir3O8